Entry 1:
For Ca2PbAu2, DFT lattice parameters and positions (GGA-PBE) gives the calculated PXRD pattern in this record (copper Kα).
Lines closer than 0.1° are merged.

Atomic structure:
Cell lengths 8.2766, 8.2766, 3.7513 Å; angles 90.00, 90.00, 90.00 degrees
Space group P4/mbm (No. 127)
Symmetry-distinct sites (fractional):
Ca 0.1727 0.3273 0.0000 [4 per cell]
Pb 0.0000 0.0000 0.5000 [2 per cell]
Au 0.1231 0.6231 0.5000 [4 per cell]

Main lines, sorted by position (15 to 90 degrees two-theta):
d/Å, I_rel, index
3.751, 70, 0 0 1
3.701, 47, 2 1 0
2.779, 35, 2 0 1
2.635, 100, 2 1 1
2.617, 82, 3 1 0
2.296, 26, 3 2 0
2.146, 64, 3 1 1
1.958, 30, 3 2 1
1.525, 32, 3 1 2
1.490, 30, 5 1 1

***

Entry 2:
For Y2O3F3, DFT lattice parameters and positions (GGA-PBE) gives the calculated PXRD pattern in this record (copper Kα).
Lines closer than 0.1° are merged.

Atomic structure:
Cell lengths 5.8084, 5.8084, 3.8934 Å; angles 90.00, 90.00, 120.00 degrees
Space group P-6 (No. 174)
Symmetry-distinct sites (fractional):
Y 0.0000 0.0000 0.0000 [1 per cell]
Y 0.3333 0.6667 0.5000 [1 per cell]
O 0.1029 0.4503 0.0000 [3 per cell]
F 0.2674 0.2382 0.5000 [3 per cell]

Main lines, sorted by position (15 to 90 degrees two-theta):
d/Å, I_rel, index
5.030, 100, 1 0 0
3.079, 69, 1 0 1
2.904, 48, 1 1 0
2.113, 64, 2 0 1
1.947, 17, 0 0 2
1.708, 57, 1 2 1
1.677, 16, 3 0 0
1.617, 17, 1 1 2
1.313, 13, 3 1 1
1.106, 13, 3 2 1